No. 1
This entry pairs a crystal structure of CePm5Y12 with its theoretical PXRD pattern. Radiation: Cu Ka. Structure: a crystal structure in Alexandria, relaxed with GGA-PBE.
Peak positions follow from Bragg's law for the DFT cell and can differ from measured ones.

Most intense lines, 15 to 90 degrees two-theta, by angle:
two_theta	intensity
30.43	100
35.28	50
50.76	35
60.31	28
60.41	14
63.33	12

Crystal structure
a b c (Å): 10.784 5.091 10.794
angles (deg): 90.00 90.13 90.00
Space group P2/m (No. 10)
One atom of each set of equivalent atoms:
Ce1 0.000 0.000 0.000
Pm1 0.164 0.500 0.836
Pm2 0.333 0.000 0.667
Pm3 0.500 0.500 0.500
Y1 0.000 0.000 0.333
Y2 0.165 0.500 0.165
Y3 0.167 0.500 0.500
Y4 0.333 0.000 0.000
Y5 0.333 0.000 0.333
Y6 0.500 0.500 0.167



No. 2
This entry pairs a crystal structure of CePm6Y10 with its theoretical PXRD pattern. Radiation: Cu Ka. Structure: a crystal structure in Alexandria, relaxed with GGA-PBE.
Peak positions follow from Bragg's law for the DFT cell and can differ from measured ones.

Most intense lines, 15 to 90 degrees two-theta, by angle:
two_theta	intensity
30.86	54
31.63	100
31.83	75
40.70	18
45.49	23
56.19	19

Crystal structure
a b c (Å): 9.7378 9.7378 6.9515
angles (deg): 90.00 90.00 120.00
Space group P-31m (No. 162)
One atom of each set of equivalent atoms:
Ce1 0.0000 0.0000 0.0000
Pm1 0.0000 0.3799 0.7989
Y1 0.0000 0.2711 0.3152
Y2 0.3333 0.6667 0.0000
Y3 0.3333 0.6667 0.5000



No. 3
This entry pairs a crystal structure of CePm4Y15 with its theoretical PXRD pattern. Radiation: Cu Ka. Structure: a crystal structure in Alexandria, relaxed with GGA-PBE.
Peak positions follow from Bragg's law for the DFT cell and can differ from measured ones.

Most intense lines, 15 to 90 degrees two-theta, by angle:
two_theta	intensity
30.49	100
35.29	34
35.48	16
50.91	23
60.38	28
60.64	13

Crystal structure
a b c (Å): 5.087 5.087 25.299
angles (deg): 90.00 90.00 90.00
Space group P4/mmm (No. 123)
One atom of each set of equivalent atoms:
Ce1 0.000 0.000 0.000
Pm1 0.000 0.000 0.198
Pm2 0.000 0.000 0.400
Y1 0.000 0.500 0.098
Y2 0.000 0.500 0.299
Y3 0.000 0.500 0.500
Y4 0.500 0.500 0.000
Y5 0.500 0.500 0.199
Y6 0.500 0.500 0.399



No. 4
This entry pairs a crystal structure of CePmY2 with its theoretical PXRD pattern. Radiation: Cu Ka. Structure: a crystal structure in Alexandria, relaxed with GGA-PBE.
Peak positions follow from Bragg's law for the DFT cell and can differ from measured ones.

Most intense lines, 15 to 90 degrees two-theta, by angle:
two_theta	intensity
29.25	32
30.89	49
31.59	100
34.09	78
51.01	36
60.83	42

Crystal structure
a b c (Å): 3.5810 3.5810 34.7390
angles (deg): 90.00 90.00 120.00
Space group R3m (No. 160, hexagonal axes)
One atom of each set of equivalent atoms:
Ce1 0.0000 0.0000 0.0000
Pm1 0.0000 0.0000 0.8341
Y1 0.0000 0.0000 0.4148
Y2 0.0000 0.0000 0.5855